No. 1
Calculated powder X-ray diffraction pattern
Compound: Ca3Pb2Au
Radiation: Cu Kα X-rays
Structure: DFT lattice parameters and positions (GGA-PBE)
Lines closer than 0.1° are merged.

Crystal structure
```
24
Lattice="12.8319 0.0000 0.0000 0.0000 4.7790 0.0000 0.0000 0.0000 11.8323" Properties=species:S:1:pos:R:3 pbc="T T T"
Ca 0.6351 1.1947 1.4492
Ca 1.5648 3.5842 6.6146
Ca 2.9458 1.1947 9.5277
Ca 3.4702 3.5842 3.6115
Ca 4.8511 1.1947 0.6985
Ca 5.7809 3.5842 7.3653
Ca 7.0510 1.1947 4.4670
Ca 7.9808 3.5842 11.1339
Ca 9.3618 1.1947 8.2208
Ca 9.8861 3.5842 2.3047
Ca 11.2671 1.1947 5.2177
Ca 12.1969 3.5842 10.3832
Pb 0.0557 3.5842 3.5995
Pb 2.4313 3.5842 0.1508
Pb 3.9847 1.1947 6.0670
Pb 6.3602 1.1947 9.5157
Pb 6.4717 3.5842 2.3167
Pb 8.8472 3.5842 5.7654
Pb 10.4007 1.1947 11.6815
Pb 12.7762 1.1947 8.2329
Au 1.5621 1.1947 4.4691
Au 4.8539 3.5842 10.3853
Au 7.9781 1.1947 1.4471
Au 11.2698 3.5842 7.3632
```

Main lines, by angle (2θ = 10–90°):
two_theta  I (rel.)
10.2  39.6
15.7  41.2
20.4  73.2
21.2  100.0
23.6  63.5
31.9  81.5
34.5  76.9
37.6  59.7
38.4  54.4
59.0  39.5

***

No. 2
Calculated powder X-ray diffraction pattern
Compound: DyUCu2O8
Radiation: Cu Kα X-rays
Structure: DFT lattice parameters and positions (GGA-PBE)
Lines closer than 0.1° are merged.

Crystal structure
```
12
Lattice="-3.4429 3.4429 3.3407 3.4429 -3.4429 3.3407 3.4429 3.4429 -3.3407" Properties=species:S:1:pos:R:3 pbc="T T T"
Dy 0.0000 0.0000 0.0000
U 0.0000 3.4429 1.6704
Cu 3.4429 0.0000 1.6704
Cu 0.0000 0.0000 3.3407
O 2.2462 0.0000 0.2923
O 4.6395 0.0000 0.2923
O 3.4429 2.0947 -1.3251
O 3.4429 -1.1966 3.0485
O 0.0000 1.3482 2.0157
O 3.4429 1.1966 3.0485
O 2.0947 3.4429 1.3251
O 1.3482 0.0000 4.6658
```

Main lines, by angle (2θ = 10–90°):
two_theta  I (rel.)
18.5  51.8
25.9  100.0
32.5  85.9
36.9  25.2
50.0  67.3
53.2  15.4
60.1  15.1
61.7  16.7
63.8  19.4
76.0  14.8

***

No. 3
Calculated powder X-ray diffraction pattern
Compound: KTiTc2O8
Radiation: Cu Kα X-rays
Structure: DFT lattice parameters and positions (GGA-PBE)
Lines closer than 0.1° are merged.

Crystal structure
```
12
Lattice="4.9255 -2.8599 0.0000 4.9255 2.8599 0.0000 -0.0286 0.0000 7.3748" Properties=species:S:1:pos:R:3 pbc="T T T"
K 0.0000 0.0000 0.0000
Ti -0.0143 0.0000 3.6874
Tc 3.2792 0.0000 5.4769
Tc 6.5431 0.0000 1.8979
O 4.1203 1.4645 4.8441
O 1.6025 0.0000 4.8167
O 5.7020 1.4645 2.5307
O 3.2587 0.0000 7.2262
O 6.5636 0.0000 0.1486
O 4.1203 -1.4645 4.8441
O 8.2198 0.0000 2.5581
O 5.7020 -1.4645 2.5307
```

Main lines, by angle (2θ = 10–90°):
two_theta  I (rel.)
21.6  100.0
21.7  28.1
30.2  28.8
31.3  16.7
31.4  32.9
41.0  12.0
44.1  12.8
50.3  8.2
50.5  11.2
59.7  12.4